Calculated PXRD pattern
Compound: Mn6O5F7
Radiation: Cu Kα
Structure: the PBE+U geometry in the Materials Project
No peak broadening, texture or thermal motion is included.

Most intense lines, 10 to 90 degrees two-theta, sorted by position:
24.37 deg, I 51; 29.90 deg, I 100; 35.78 deg, I 18; 40.71 deg, I 16; 42.71 deg, I 15; 52.25 deg, I 23; 53.09 deg, I 18; 53.23 deg, I 18; 62.68 deg, I 17; 63.60 deg, I 15

Cell and atoms:
```
data_Mn6O5F7
_space_group_name_H-M_alt 'P 1'
_space_group_IT_number 1
_space_group_name_Hall 'P 1'
_cell_length_a 4.740
_cell_length_b 5.732
_cell_length_c 15.586
_cell_angle_alpha 89.93
_cell_angle_beta 89.91
_cell_angle_gamma 89.83
loop_
_atom_site_label
_atom_site_type_symbol
_atom_site_fract_x
_atom_site_fract_y
_atom_site_fract_z
Mn1 Mn 0.000 0.000 0.000
Mn2 Mn 0.001 0.050 0.673
Mn3 Mn 0.029 0.340 0.507
Mn4 Mn 0.493 0.822 0.167
Mn5 Mn 0.498 0.559 0.005
Mn6 Mn 0.524 0.526 0.331
Mn7 Mn 0.525 0.841 0.501
Mn8 Mn 0.532 0.519 0.663
Mn9 Mn 0.537 0.842 0.831
Mn10 Mn 0.950 0.023 0.336
Mn11 Mn 0.961 0.351 0.169
Mn12 Mn 0.968 0.351 0.833
O1 O 0.284 0.795 0.060
O2 O 0.318 0.559 0.557
O3 O 0.707 0.780 0.273
O4 O 0.711 0.576 0.109
O5 O 0.714 0.785 0.942
O6 O 0.723 0.575 0.774
O7 O 0.768 0.291 0.281
O8 O 0.787 0.090 0.777
O9 O 0.797 0.081 0.451
O10 O 0.810 0.294 0.613
F1 F 0.216 0.051 0.223
F2 F 0.226 0.310 0.056
F3 F 0.235 0.078 0.886
F4 F 0.241 0.557 0.227
F5 F 0.245 0.566 0.894
F6 F 0.256 0.321 0.727
F7 F 0.261 0.054 0.570
F8 F 0.261 0.309 0.394
F9 F 0.274 0.799 0.387
F10 F 0.276 0.821 0.725
F11 F 0.743 0.305 0.952
F12 F 0.762 0.074 0.110
F13 F 0.762 0.794 0.613
F14 F 0.772 0.589 0.443
```

Calculated PXRD pattern
Compound: LiVSn3P6O24
Radiation: Cu Kα
Structure: the PBE+U geometry in the Materials Project
No peak broadening, texture or thermal motion is included.

Most intense lines, 10 to 90 degrees two-theta, sorted by position:
14.22 deg, I 41; 19.95 deg, I 100; 20.38 deg, I 75; 23.74 deg, I 68; 28.67 deg, I 63; 31.86 deg, I 50; 35.44 deg, I 31; 35.70 deg, I 31; 52.47 deg, I 27; 55.83 deg, I 22

Cell and atoms:
```
data_LiVSn3P6O24
_space_group_name_H-M_alt 'R 3'
_space_group_IT_number 146
_space_group_name_Hall 'R 3'
_cell_length_a 8.7132
_cell_length_b 8.7132
_cell_length_c 22.0453
_cell_angle_alpha 90.00
_cell_angle_beta 90.00
_cell_angle_gamma 120.00
loop_
_atom_site_label
_atom_site_type_symbol
_atom_site_fract_x
_atom_site_fract_y
_atom_site_fract_z
Li1 Li 0.0000 0.0000 0.0000
V1 V 0.0000 0.0000 0.1450
Sn1 Sn 0.0000 0.0000 0.3578
Sn2 Sn 0.0000 0.0000 0.6407
Sn3 Sn 0.0000 0.0000 0.8538
P1 P 0.0075 0.7109 0.7495
P2 P 0.0474 0.3791 0.9162
O1 O 0.0084 0.1833 0.1924
O2 O 0.0136 0.8208 0.4121
O3 O 0.0258 0.1918 0.9140
O4 O 0.0441 0.8260 0.6924
O5 O 0.1450 0.6846 0.4737
O6 O 0.1548 0.4602 0.9738
O7 O 0.1703 0.4646 0.2498
O8 O 0.1749 0.6886 0.7566
```

Calculated PXRD pattern
Compound: NaW9O27
Radiation: Cu Kα
Structure: the PBE+U geometry in the Materials Project
No peak broadening, texture or thermal motion is included.

Most intense lines, 10 to 90 degrees two-theta, sorted by position:
22.97 deg, I 100; 32.71 deg, I 59; 40.35 deg, I 14; 46.94 deg, I 21; 52.88 deg, I 41; 58.39 deg, I 24; 68.55 deg, I 12; 73.36 deg, I 19; 78.05 deg, I 11; 82.66 deg, I 7

Cell and atoms:
```
data_NaW9O27
_space_group_name_H-M_alt 'R -3'
_space_group_IT_number 148
_space_group_name_Hall '-R 3'
_cell_length_a 9.4835
_cell_length_b 9.4835
_cell_length_c 20.1172
_cell_angle_alpha 90.00
_cell_angle_beta 90.00
_cell_angle_gamma 120.00
loop_
_atom_site_label
_atom_site_type_symbol
_atom_site_fract_x
_atom_site_fract_y
_atom_site_fract_z
Na1 Na 0.0000 0.0000 0.0000
W1 W 0.0000 0.0000 0.1677
W2 W 0.0000 0.0000 0.5000
W3 W 0.0012 0.3324 0.3893
O1 O 0.0000 0.1651 0.1101
O2 O 0.0001 0.1666 0.4445
O3 O 0.9999 0.1666 0.7777
O4 O 0.0000 0.5000 0.0000
O5 O 0.0032 0.5016 0.6666
```

Calculated PXRD pattern
Compound: VO2F
Radiation: Cu Kα
Structure: the PBE+U geometry in the Materials Project
No peak broadening, texture or thermal motion is included.

Most intense lines, 10 to 90 degrees two-theta, sorted by position:
22.98 deg, I 60; 24.52 deg, I 100; 33.23 deg, I 20; 34.47 deg, I 12; 39.21 deg, I 10; 41.14 deg, I 12; 50.27 deg, I 21; 52.80 deg, I 9; 55.11 deg, I 11; 55.89 deg, I 11

Cell and atoms:
```
data_VO2F
_space_group_name_H-M_alt 'C 1 c 1'
_space_group_IT_number 9
_space_group_name_Hall 'C -2yc'
_cell_length_a 9.123
_cell_length_b 5.051
_cell_length_c 5.227
_cell_angle_alpha 90.00
_cell_angle_beta 121.95
_cell_angle_gamma 90.00
loop_
_atom_site_label
_atom_site_type_symbol
_atom_site_fract_x
_atom_site_fract_y
_atom_site_fract_z
V1 V 0.000 0.236 0.000
O1 O 0.001 0.041 0.707
O2 O 0.200 0.339 0.196
F1 F 0.412 0.040 0.699
```

Calculated PXRD pattern
Compound: MgFeAuO2
Radiation: Cu Kα
Structure: the PBE+U geometry in the Materials Project
No peak broadening, texture or thermal motion is included.

Most intense lines, 10 to 90 degrees two-theta, sorted by position:
10.82 deg, I 96; 21.74 deg, I 47; 32.86 deg, I 34; 33.66 deg, I 19; 34.23 deg, I 100; 36.66 deg, I 30; 38.20 deg, I 20; 42.56 deg, I 29; 44.82 deg, I 18; 59.67 deg, I 22

Cell and atoms:
```
data_MgFeAuO2
_space_group_name_H-M_alt 'C 1 m 1'
_space_group_IT_number 8
_space_group_name_Hall 'C -2y'
_cell_length_a 5.371
_cell_length_b 3.092
_cell_length_c 8.385
_cell_angle_alpha 90.00
_cell_angle_beta 102.84
_cell_angle_gamma 90.00
loop_
_atom_site_label
_atom_site_type_symbol
_atom_site_fract_x
_atom_site_fract_y
_atom_site_fract_z
Mg1 Mg 0.000 0.000 0.000
Fe1 Fe 0.108 0.000 0.329
Au1 Au 0.072 0.500 0.723
O1 O 0.210 0.500 0.124
O2 O 0.474 0.000 0.424
```

Calculated PXRD pattern
Compound: Sr2CoWO6
Radiation: Cu Kα
Structure: the PBE+U geometry in the Materials Project
No peak broadening, texture or thermal motion is included.

Most intense lines, 10 to 90 degrees two-theta, sorted by position:
19.11 deg, I 23; 22.10 deg, I 9; 31.45 deg, I 100; 37.04 deg, I 9; 45.07 deg, I 32; 55.90 deg, I 10; 56.02 deg, I 30; 65.57 deg, I 10; 65.71 deg, I 10; 74.54 deg, I 9

Cell and atoms:
```
data_Sr2CoWO6
_space_group_name_H-M_alt 'C 1 2/m 1'
_space_group_IT_number 12
_space_group_name_Hall '-C 2y'
_cell_length_a 9.839
_cell_length_b 5.688
_cell_length_c 5.698
_cell_angle_alpha 90.00
_cell_angle_beta 125.24
_cell_angle_gamma 90.00
loop_
_atom_site_label
_atom_site_type_symbol
_atom_site_fract_x
_atom_site_fract_y
_atom_site_fract_z
Sr1 Sr 0.250 0.000 0.249
Co1 Co 0.000 0.500 0.000
W1 W 0.000 0.000 0.500
O1 O 0.000 0.242 0.258
O2 O 0.242 0.000 0.742
```

Calculated PXRD pattern
Compound: Li4Mn3Fe2Cu3O16
Radiation: Cu Kα
Structure: the PBE+U geometry in the Materials Project
No peak broadening, texture or thermal motion is included.

Most intense lines, 10 to 90 degrees two-theta, sorted by position:
18.73 deg, I 100; 19.91 deg, I 47; 20.07 deg, I 70; 36.42 deg, I 50; 36.92 deg, I 43; 37.11 deg, I 27; 40.80 deg, I 27; 45.91 deg, I 29; 46.42 deg, I 41; 63.83 deg, I 38

Cell and atoms:
```
data_Li4Mn3Fe2Cu3O16
_space_group_name_H-M_alt 'C 1 m 1'
_space_group_IT_number 8
_space_group_name_Hall 'C -2y'
_cell_length_a 10.132
_cell_length_b 5.789
_cell_length_c 9.478
_cell_angle_alpha 90.00
_cell_angle_beta 91.22
_cell_angle_gamma 90.00
loop_
_atom_site_label
_atom_site_type_symbol
_atom_site_fract_x
_atom_site_fract_y
_atom_site_fract_z
Li1 Li 0.000 0.000 0.000
Li2 Li 0.011 0.000 0.505
Li3 Li 0.170 0.500 0.903
Li4 Li 0.341 0.000 0.402
Mn1 Mn 0.090 0.254 0.222
Mn2 Mn 0.180 0.000 0.722
Fe1 Fe 0.180 0.500 0.499
Fe2 Fe 0.339 0.000 0.999
Cu1 Cu 0.336 0.500 0.220
Cu2 Cu 0.424 0.244 0.720
O1 O 0.010 0.000 0.317
O2 O 0.012 0.000 0.812
O3 O 0.024 0.500 0.340
O4 O 0.099 0.242 0.606
O5 O 0.164 0.000 0.111
O6 O 0.165 0.500 0.116
O7 O 0.242 0.273 0.345
O8 O 0.259 0.220 0.848
O9 O 0.337 0.000 0.616
O10 O 0.350 0.500 0.605
O11 O 0.427 0.252 0.106
O12 O 0.486 0.000 0.845
```

Calculated PXRD pattern
Compound: BaSrSmFeO6
Radiation: Cu Kα
Structure: the PBE+U geometry in the Materials Project
No peak broadening, texture or thermal motion is included.

Most intense lines, 10 to 90 degrees two-theta, sorted by position:
18.45 deg, I 10; 30.35 deg, I 100; 35.76 deg, I 9; 43.46 deg, I 31; 47.59 deg, I 5; 53.93 deg, I 39; 63.15 deg, I 19; 71.66 deg, I 18; 79.77 deg, I 6; 87.68 deg, I 21

Cell and atoms:
```
data_BaSrSmFeO6
_space_group_name_H-M_alt 'F -4 3 m'
_space_group_IT_number 216
_space_group_name_Hall 'F -4 2 3'
_cell_length_a 8.329
_cell_length_b 8.329
_cell_length_c 8.329
_cell_angle_alpha 90.00
_cell_angle_beta 90.00
_cell_angle_gamma 90.00
loop_
_atom_site_label
_atom_site_type_symbol
_atom_site_fract_x
_atom_site_fract_y
_atom_site_fract_z
Ba1 Ba 0.000 0.000 0.000
Sr1 Sr 0.000 0.000 0.500
Sm1 Sm 0.250 0.250 0.250
Fe1 Fe 0.250 0.250 0.750
O1 O 0.022 0.250 0.750
```

Calculated PXRD pattern
Compound: Tl2CrF6
Radiation: Cu Kα
Structure: the PBE+U geometry in the Materials Project
No peak broadening, texture or thermal motion is included.

Most intense lines, 10 to 90 degrees two-theta, sorted by position:
21.05 deg, I 60; 29.95 deg, I 100; 36.90 deg, I 46; 42.86 deg, I 34; 48.22 deg, I 32; 53.17 deg, I 40; 62.23 deg, I 21; 66.47 deg, I 16; 70.58 deg, I 19; 86.25 deg, I 23

Cell and atoms:
```
data_Tl2CrF6
_space_group_name_H-M_alt 'F m -3 m'
_space_group_IT_number 225
_space_group_name_Hall '-F 4 2 3'
_cell_length_a 8.439
_cell_length_b 8.439
_cell_length_c 8.439
_cell_angle_alpha 90.00
_cell_angle_beta 90.00
_cell_angle_gamma 90.00
loop_
_atom_site_label
_atom_site_type_symbol
_atom_site_fract_x
_atom_site_fract_y
_atom_site_fract_z
Tl1 Tl 0.250 0.250 0.250
Cr1 Cr 0.000 0.000 0.000
F1 F 0.000 0.000 0.225
```